No. 1
Structure and simulated X-ray diffraction stick pattern of TaBe2Ag2O6 (the GGA-PBE geometry in Alexandria; Cu Ka).
Kinematic intensities with the Lorentz-polarization factor, no thermal factor.

Main lines, in order of falling intensity (2θ from 10° to 90°):
Position (°2θ), I/Imax
24.9, 100
36.9, 45
34.1, 44
42.6, 31
55.7, 23
59.5, 21
51.1, 18
62.8, 18
61.0, 11
15.3, 10

Structural model:
```
TaBe2Ag2O6
1.0
5.2645 0.0000 0.0000
-2.6323 4.5592 0.0000
0.0000 0.0000 5.7733
Ta Be Ag O
1 2 2 6
Direct
0.0000 0.0000 0.0000
0.3333 0.6667 0.8041
0.6667 0.3333 0.1959
0.3333 0.6667 0.3199
0.6667 0.3333 0.6801
0.0841 0.7397 0.7991
0.2603 0.3444 0.7991
0.3444 0.0841 0.2009
0.6556 0.9159 0.7991
0.7397 0.6556 0.2009
0.9159 0.2603 0.2009
```

***

No. 2
Structure and simulated X-ray diffraction stick pattern of Rb2BeAgP2 (the GGA-PBE geometry in Alexandria; Cu Ka).
Kinematic intensities with the Lorentz-polarization factor, no thermal factor.

Main lines, in order of falling intensity (2θ from 10° to 90°):
Position (°2θ), I/Imax
30.1, 100
37.4, 50
42.2, 50
15.3, 50
23.4, 44
10.7, 38
54.3, 36
36.3, 34
30.9, 30
53.5, 29

Structural model:
```
Rb2BeAgP2
1.0
-3.0964 8.2337 2.9637
3.0964 -8.2337 2.9637
3.0964 8.2337 -2.9637
Rb Be Ag P
4 2 2 4
Direct
0.1651 0.2382 0.4033
0.3349 0.7382 0.0731
0.6651 0.2618 0.9269
0.8349 0.7618 0.5967
0.2500 0.7500 0.5000
0.7500 0.2500 0.5000
0.2500 0.2500 0.0000
0.7500 0.7500 0.0000
0.0738 0.7045 0.7782
0.4262 0.2045 0.6307
0.5738 0.7955 0.3693
0.9262 0.2955 0.2218
```

***

No. 3
Structure and simulated X-ray diffraction stick pattern of PaBeAg (the GGA-PBE geometry in Alexandria; Cu Ka).
Kinematic intensities with the Lorentz-polarization factor, no thermal factor.

Main lines, in order of falling intensity (2θ from 10° to 90°):
Position (°2θ), I/Imax
35.0, 100
37.7, 64
34.5, 59
18.7, 57
31.4, 53
37.6, 42
46.1, 34
61.8, 31
39.2, 30
24.9, 24

Structural model:
```
PaBeAg
1.0
0.0000 4.5638 9.4753
2.4626 0.0000 9.4753
2.4626 4.5638 0.0000
Pa Be Ag
4 4 4
Direct
0.0477 0.7023 0.0477
0.2977 0.9523 0.2977
0.7023 0.0477 0.7023
0.9523 0.2977 0.9523
0.0018 0.0018 0.2482
0.2482 0.2482 0.0018
0.7518 0.7518 0.9982
0.9982 0.9982 0.7518
0.2909 0.2909 0.4591
0.4591 0.4591 0.2909
0.5409 0.5409 0.7091
0.7091 0.7091 0.5409
```

***

No. 4
Structure and simulated X-ray diffraction stick pattern of BeAgPdPt (the GGA-PBE geometry in Alexandria; Cu Ka).
Kinematic intensities with the Lorentz-polarization factor, no thermal factor.

Main lines, in order of falling intensity (2θ from 10° to 90°):
Position (°2θ), I/Imax
40.9, 100
34.3, 59
45.6, 49
60.8, 30
38.1, 30
81.0, 27
31.8, 25
75.0, 21
12.5, 18
66.4, 16

Structural model:
```
BeAgPdPt
1.0
2.8162 0.0000 0.0000
0.0000 2.8162 0.0000
0.0000 0.0000 7.0848
Be Ag Pd Pt
1 1 1 1
Direct
0.0000 0.0000 0.0000
0.0000 0.0000 0.5017
0.5000 0.5000 0.2044
0.5000 0.5000 0.8068
```

***

No. 5
Structure and simulated X-ray diffraction stick pattern of BeAgPt2 (the GGA-PBE geometry in Alexandria; Cu Ka).
Kinematic intensities with the Lorentz-polarization factor, no thermal factor.

Main lines, in order of falling intensity (2θ from 10° to 90°):
Position (°2θ), I/Imax
40.3, 100
45.3, 36
80.3, 27
31.6, 26
24.3, 25
87.1, 23
69.7, 20
25.4, 15
52.1, 14
49.9, 14

Structural model:
```
BeAgPt2
1.0
-2.0011 2.0011 3.6575
2.0011 -2.0011 3.6575
2.0011 2.0011 -3.6575
Be Ag Pt
1 1 2
Direct
0.0000 0.0000 0.0000
0.5000 0.5000 0.0000
0.2500 0.7500 0.5000
0.7500 0.2500 0.5000
```

***

No. 6
Structure and simulated X-ray diffraction stick pattern of RbBeAg2 (the GGA-PBE geometry in Alexandria; Cu Ka).
Kinematic intensities with the Lorentz-polarization factor, no thermal factor.

Main lines, in order of falling intensity (2θ from 10° to 90°):
Position (°2θ), I/Imax
23.6, 100
34.3, 67
36.6, 63
33.2, 42
52.3, 38
25.4, 25
48.2, 25
17.0, 24
55.8, 18
23.1, 16

Structural model:
```
RbBeAg2
1.0
-2.7785 2.7785 7.7112
2.7785 -2.7785 7.7112
2.7785 2.7785 -7.7112
Rb Be Ag
2 2 4
Direct
0.3750 0.6250 0.7500
0.6250 0.3750 0.2500
0.1250 0.8750 0.2500
0.8750 0.1250 0.7500
0.0000 0.0000 0.0000
0.0000 0.0000 0.5000
0.0000 0.5000 0.0000
0.5000 0.0000 0.5000
```

***

No. 7
Structure and simulated X-ray diffraction stick pattern of BeReAg2Sn (the GGA-PBE geometry in Alexandria; Cu Ka).
Kinematic intensities with the Lorentz-polarization factor, no thermal factor.

Main lines, in order of falling intensity (2θ from 10° to 90°):
Position (°2θ), I/Imax
17.3, 100
35.0, 58
39.3, 49
17.4, 45
50.5, 41
35.3, 28
39.5, 26
53.8, 22
62.9, 21
50.3, 21

Structural model:
```
BeReAg2Sn
1.0
5.1332 0.0000 0.0000
0.0000 5.1332 0.0000
0.0000 0.0000 5.0920
Be Re Ag Sn
1 1 2 1
Direct
0.0000 0.0000 0.0000
0.5000 0.5000 0.5000
0.0000 0.5000 0.5000
0.5000 0.0000 0.5000
0.5000 0.5000 0.0000
```

***

No. 8
Structure and simulated X-ray diffraction stick pattern of BeAgSb (the GGA-PBE geometry in Alexandria; Cu Ka).
Kinematic intensities with the Lorentz-polarization factor, no thermal factor.

Main lines, in order of falling intensity (2θ from 10° to 90°):
Position (°2θ), I/Imax
29.8, 100
36.7, 58
39.6, 37
28.5, 32
46.5, 19
39.0, 15
31.9, 15
31.8, 14
38.4, 13
64.0, 12

Structural model:
```
BeAgSb
1.0
4.7444 0.0000 0.0000
0.0000 3.9067 0.0000
-0.9238 0.0000 6.2728
Be Ag Sb
2 2 2
Direct
0.1261 0.0000 0.0418
0.8739 0.5000 0.9582
0.3502 0.5022 0.8264
0.6498 0.0022 0.1736
0.2158 0.5003 0.3034
0.7842 0.0003 0.6966
```

***

No. 9
Structure and simulated X-ray diffraction stick pattern of BeAgSb (the GGA-PBE geometry in Alexandria; Cu Ka).
Kinematic intensities with the Lorentz-polarization factor, no thermal factor.

Main lines, in order of falling intensity (2θ from 10° to 90°):
Position (°2θ), I/Imax
26.6, 100
43.1, 53
30.5, 43
49.4, 28
36.2, 27
42.8, 26
33.6, 25
30.7, 20
46.0, 19
24.6, 18

Structural model:
```
BeAgSb
1.0
5.0799 0.0000 0.0000
0.0000 3.9476 0.0000
-1.1733 0.0000 6.3342
Be Ag Sb
2 2 2
Direct
0.0000 0.0000 0.0000
0.0382 0.5000 0.8151
0.3666 0.0000 0.7940
0.6752 0.5000 0.0248
0.2230 0.5000 0.2189
0.8179 0.0000 0.5968
```

***

No. 10
Structure and simulated X-ray diffraction stick pattern of BeAgSb (the GGA-PBE geometry in Alexandria; Cu Ka).
Kinematic intensities with the Lorentz-polarization factor, no thermal factor.

Main lines, in order of falling intensity (2θ from 10° to 90°):
Position (°2θ), I/Imax
27.1, 100
33.4, 93
26.3, 89
42.0, 58
44.0, 45
32.6, 44
44.2, 31
52.1, 26
44.9, 25
48.3, 22

Structural model:
```
BeAgSb
1.0
2.0505 -3.7406 0.0000
2.0505 3.7406 0.0000
0.0000 0.0000 8.0670
Be Ag Sb
2 2 2
Direct
0.2261 0.7739 0.5000
0.7739 0.2261 0.0000
0.3057 0.6943 0.1947
0.6943 0.3057 0.6947
0.0911 0.9089 0.9187
0.9089 0.0911 0.4187
```

***

No. 11
Structure and simulated X-ray diffraction stick pattern of BeAgSb (the GGA-PBE geometry in Alexandria; Cu Ka).
Kinematic intensities with the Lorentz-polarization factor, no thermal factor.

Main lines, in order of falling intensity (2θ from 10° to 90°):
Position (°2θ), I/Imax
28.3, 100
40.9, 47
30.2, 41
44.2, 19
42.8, 18
24.8, 16
46.4, 16
54.4, 15
36.5, 15
28.7, 12

Structural model:
```
BeAgSb
1.0
4.0970 0.0000 0.0000
2.0401 3.7345 0.0000
0.0108 1.4675 7.8286
Be Ag Sb
2 2 2
Direct
0.0000 0.0000 0.0000
0.0326 0.9341 0.6486
0.0171 0.9660 0.3249
0.5177 0.9642 0.8256
0.3369 0.3279 0.0967
0.6965 0.6054 0.5534
```

***

No. 12
Structure and simulated X-ray diffraction stick pattern of ScBeAg2 (the GGA-PBE geometry in Alexandria; Cu Ka).
Kinematic intensities with the Lorentz-polarization factor, no thermal factor.

Main lines, in order of falling intensity (2θ from 10° to 90°):
Position (°2θ), I/Imax
38.9, 100
31.6, 54
12.7, 46
41.2, 41
73.5, 32
69.0, 21
57.9, 16
59.6, 13
74.9, 11
43.3, 10

Structural model:
```
ScBeAg2
1.0
3.1012 0.0000 0.0000
0.0000 3.1012 0.0000
0.0000 0.0000 6.9451
Sc Be Ag
1 1 2
Direct
0.0000 0.0000 0.0000
0.5000 0.5000 0.7469
0.0000 0.0000 0.5728
0.5000 0.5000 0.2931
```